BaMnGaP: computed X-ray diffraction stick pattern (Cu Kα X-rays), based on a crystal structure in Alexandria, relaxed with GGA-PBE.
Lines closer than 0.1° are merged.

Cell and atoms:
```
data_BaMnGaP
_chemical_formula_sum 'Ba2 Mn2 Ga2 P2'
_symmetry_space_group_name_H-M 'P 4/n m m'
_symmetry_Int_Tables_number 129
_cell_length_a 3.821
_cell_length_b 3.821
_cell_length_c 12.437
_cell_angle_alpha 90.00
_cell_angle_beta 90.00
_cell_angle_gamma 90.00
loop_
_symmetry_equiv_pos_as_xyz
'x,y,z'
'-x,-y,-z'
'-y+1/2,x,z'
'y+1/2,-x,-z'
'-x+1/2,-y+1/2,z'
'x+1/2,y+1/2,-z'
'y,-x+1/2,z'
'-y,x+1/2,-z'
'x+1/2,-y,-z'
'-x+1/2,y,z'
'-y,-x,-z'
'y,x,z'
'-x,y+1/2,-z'
'x,-y+1/2,z'
'y+1/2,x+1/2,-z'
'-y+1/2,-x+1/2,z'
loop_
_atom_site_label
_atom_site_fract_x
_atom_site_fract_y
_atom_site_fract_z
Ba1 0.250 0.250 0.246
Mn1 0.250 0.750 0.000
Ga1 0.250 0.750 0.500
P1 0.250 0.250 0.897
```

Main lines, most intense first (2θ from 10° to 90°):
2θ (°)	d (Å)	I_rel	(hkl)
36.25	2.478	100	1 1 2
31.85	2.810	57	1 0 3
24.37	3.652	55	1 0 1
28.71	3.109	40	0 0 4
55.91	1.645	34	1 1 6
47.60	1.910	30	2 0 0
56.54	1.628	23	2 0 4
58.42	1.580	19	2 1 3
81.08	1.186	19	3 1 2
43.41	2.085	17	1 0 5